# Dy3Tm2Lu2Ni2S2
Theoretical powder XRD pattern, CuKα. Input: a GGA-PBE-relaxed structure.
Neutral-atom scattering factors, no anomalous dispersion.

Most intense lines, 2θ from 10° to 80°, sorted by position:
2θ = 30.1°, I 33, hkl 1 3 0; 2θ = 30.3°, I 37, hkl 0 1 3; 2θ = 31.7°, I 68, hkl 1 1 2; 2θ = 32.0°, I 43, hkl 0 5 1; 2θ = 35.0°, I 55, hkl 0 3 3; 2θ = 35.7°, I 100, hkl 1 4 1; 2θ = 36.2°, I 52, hkl 1 3 2; 2θ = 48.7°, I 29, hkl 2 0 0; 2θ = 54.1°, I 28, hkl 1 7 2; 2θ = 61.4°, I 22, hkl 2 3 3

Structure:
a b c (Å): 3.7393 14.6972 9.0344
angles (deg): 90.00 90.00 90.00
Space group Imm2 (No. 44)
Asymmetric unit:
Dy (0.0000, 0.0000, 0.0000)
Dy (0.0000, 0.3635, 0.7549)
Tm (0.0000, 0.1200, 0.5986)
Lu (0.0000, 0.3157, 0.3906)
Ni (0.0000, 0.2424, 0.0851)
S (0.0000, 0.0000, 0.3487)
S (0.0000, 0.5000, 0.2507)

---

# LiLa2CuSn2
Theoretical powder XRD pattern, CuKα. Input: a GGA-PBE-relaxed structure.
Neutral-atom scattering factors, no anomalous dispersion.

Most intense lines, 2θ from 10° to 80°, sorted by position:
2θ = 21.9°, I 11, hkl 1 0 0; 2θ = 24.5°, I 21, hkl 1 0 1; 2θ = 31.2°, I 100, hkl 1 0 2; 2θ = 38.4°, I 53, hkl 1 1 0; 2θ = 44.7°, I 13, hkl 0 0 4; 2θ = 50.3°, I 28, hkl 2 0 2; 2θ = 60.4°, I 29, hkl 1 1 4; 2θ = 65.0°, I 25, hkl 2 1 2; 2θ = 69.5°, I 9, hkl 3 0 0; 2θ = 73.9°, I 8, hkl 1 0 6

Structure:
a b c (Å): 4.6839 4.6839 8.1073
angles (deg): 90.00 90.00 120.00
Space group P-6m2 (No. 187)
Asymmetric unit:
Li (0.0000, 0.0000, 0.0000)
La (0.3333, 0.6667, 0.2542)
Cu (0.6667, 0.3333, 0.5000)
Sn (0.0000, 0.0000, 0.5000)
Sn (0.6667, 0.3333, 0.0000)

---

# BeAl2FeCu4
Theoretical powder XRD pattern, CuKα. Input: a GGA-PBE-relaxed structure.
Neutral-atom scattering factors, no anomalous dispersion.

Most intense lines, 2θ from 10° to 80°, sorted by position:
2θ = 28.4°, I 6, hkl 1 0 3; 2θ = 31.0°, I 22, hkl 2 0 0; 2θ = 31.8°, I 12, hkl 0 0 4; 2θ = 35.7°, I 11, hkl 2 1 1; 2θ = 44.4°, I 51, hkl 2 2 0; 2θ = 45.0°, I 100, hkl 2 0 4; 2θ = 47.9°, I 6, hkl 3 0 1; 2θ = 55.6°, I 7, hkl 2 2 4; 2θ = 64.5°, I 14, hkl 4 0 0; 2θ = 66.5°, I 7, hkl 0 0 8

Structure:
a b c (Å): 5.7769 5.7769 11.2552
angles (deg): 90.00 90.00 90.00
Space group I4_1/amd (No. 141, origin choice 2)
Asymmetric unit:
Be (0.0000, 0.2500, 0.3750)
Al (0.0000, 0.2500, 0.1116)
Fe (0.0000, 0.2500, 0.8750)
Cu (0.2235, 0.0000, 0.5000)

---

# NaAg5
Theoretical powder XRD pattern, CuKα. Input: a GGA-PBE-relaxed structure.
Neutral-atom scattering factors, no anomalous dispersion.

Most intense lines, 2θ from 10° to 80°, sorted by position:
2θ = 18.4°, I 94, hkl 1 0 0; 2θ = 37.2°, I 24, hkl 2 0 0; 2θ = 37.6°, I 100, hkl 1 1 1; 2θ = 38.7°, I 40, hkl 0 0 2; 2θ = 42.2°, I 99, hkl 2 0 1; 2θ = 43.2°, I 20, hkl 1 0 2; 2θ = 54.8°, I 15, hkl 2 0 2; 2θ = 60.9°, I 23, hkl 3 0 1; 2θ = 67.1°, I 22, hkl 2 2 0; 2θ = 72.5°, I 19, hkl 2 0 3

Structure:
a b c (Å): 5.5789 5.5789 4.6478
angles (deg): 90.00 90.00 120.00
Space group P6/mmm (No. 191)
Asymmetric unit:
Na (0.0000, 0.0000, 0.0000)
Ag (0.0000, 0.5000, 0.5000)
Ag (0.3333, 0.6667, 0.0000)

---

# Dy4CICl4
Theoretical powder XRD pattern, CuKα. Input: a GGA-PBE-relaxed structure.
Neutral-atom scattering factors, no anomalous dispersion.

Most intense lines, 2θ from 10° to 80°, sorted by position:
2θ = 10.8°, I 100, hkl 0 0 1; 2θ = 21.7°, I 14, hkl 4 0 -1; 2θ = 29.1°, I 19, hkl 3 1 -1; 2θ = 31.6°, I 62, hkl 1 1 -2; 2θ = 32.0°, I 24, hkl 3 1 1; 2θ = 32.6°, I 32, hkl 6 0 0; 2θ = 34.7°, I 12, hkl 4 0 -3; 2θ = 37.0°, I 16, hkl 2 0 3; 2θ = 45.9°, I 16, hkl 5 1 2; 2θ = 46.2°, I 16, hkl 7 1 -2

Structure:
a b c (Å): 16.9652 3.8028 8.4738
angles (deg): 90.00 103.95 90.00
Space group C2/m (No. 12)
Asymmetric unit:
Dy (0.0009, 0.0000, 0.3085)
Dy (0.1446, 0.5000, 0.5750)
C (0.0000, 0.5000, 0.5000)
I (0.0000, 0.5000, 0.0000)
Cl (0.1654, 0.0000, 0.8092)
Cl (0.1713, 0.0000, 0.3565)

---

# Mg4Nb3
Theoretical powder XRD pattern, CuKα. Input: a GGA-PBE-relaxed structure.
Neutral-atom scattering factors, no anomalous dispersion.

Most intense lines, 2θ from 10° to 80°, sorted by position:
2θ = 12.5°, I 100, hkl 1 0 -1; 2θ = 33.5°, I 25, hkl 3 0 -2; 2θ = 36.5°, I 24, hkl 0 2 0; 2θ = 38.3°, I 94, hkl 2 1 1; 2θ = 38.7°, I 12, hkl 1 2 -1; 2θ = 48.3°, I 10, hkl 2 1 -4; 2θ = 50.4°, I 15, hkl 3 2 -2; 2θ = 59.9°, I 9, hkl 1 0 4; 2θ = 66.9°, I 17, hkl 2 3 1; 2θ = 72.2°, I 10, hkl 1 2 4

Structure:
a b c (Å): 8.1611 4.9256 8.1629
angles (deg): 90.00 119.88 90.00
Space group P2_1/m (No. 11)
Asymmetric unit:
Mg (0.0324, 0.2500, 0.1201)
Mg (0.1200, 0.7500, 0.5878)
Mg (0.1668, 0.2500, 0.8334)
Mg (0.4122, 0.7500, 0.0323)
Nb (0.2859, 0.7500, 0.3274)
Nb (0.3283, 0.2500, 0.5412)
Nb (0.4587, 0.2500, 0.2867)

---

# AgSbPtSe3
Theoretical powder XRD pattern, CuKα. Input: a GGA-PBE-relaxed structure.
Neutral-atom scattering factors, no anomalous dispersion.

Most intense lines, 2θ from 10° to 80°, sorted by position:
2θ = 12.7°, I 34, hkl 0 0 2; 2θ = 25.8°, I 65, hkl 1 0 3; 2θ = 27.5°, I 100, hkl 1 2 0; 2θ = 28.0°, I 28, hkl 1 1 3; 2θ = 28.3°, I 29, hkl 1 2 1; 2θ = 31.0°, I 28, hkl 1 0 4; 2θ = 38.8°, I 22, hkl 0 0 6; 2θ = 43.4°, I 34, hkl 0 4 0; 2θ = 45.8°, I 62, hkl 2 2 3; 2θ = 50.8°, I 24, hkl 0 2 7

Structure:
a b c (Å): 5.1426 8.3415 13.9342
angles (deg): 90.00 90.00 90.00
Space group P2_12_12_1 (No. 19)
Asymmetric unit:
Ag (0.0481, 0.0966, 0.4556)
Sb (0.0723, 0.1349, 0.1463)
Pt (0.0320, 0.6480, 0.7432)
Se (0.2037, 0.1637, 0.9136)
Se (0.2291, 0.3865, 0.7037)
Se (0.2410, 0.3740, 0.3979)